[1]
Starting from a DFT-relaxed cell (GGA-PBE, Alexandria), the powder X-ray diffraction pattern of Ca2Hg3Au was calculated for Cu Kα.
Kinematic intensities with the Lorentz-polarization factor, no thermal factor.

Main lines, by intensity (10° ≤ 2θ ≤ 90°):
2θ (°), d (Å), Rel. int.
36.12, 2.487, 100
25.09, 3.550, 82
32.80, 2.730, 79
44.48, 2.037, 75
20.79, 4.273, 50
36.57, 2.457, 48
32.64, 2.744, 38
64.50, 1.445, 37
44.87, 2.020, 36
20.53, 4.325, 23
49.82, 1.830, 23
71.36, 1.322, 19

Cell and atoms:
```
data_Ca2Hg3Au
_cell_length_a 7.099
_cell_length_b 9.828
_cell_length_c 17.300
_cell_angle_alpha 90.00
_cell_angle_beta 90.00
_cell_angle_gamma 90.00
_symmetry_space_group_name_H-M 'F m m m'
_symmetry_Int_Tables_number 69
_symmetry_space_group_name_Hall '-F 2 2'
loop_
_atom_site_label
_atom_site_type_symbol
_atom_site_fract_x
_atom_site_fract_y
_atom_site_fract_z
_atom_site_occupancy
Ca1 Ca 0.247 0.000 0.000 1
Ca2 Ca 0.250 0.250 0.250 1
Hg1 Hg 0.000 0.000 0.331 1
Hg2 Hg 0.000 0.247 0.084 1
Au1 Au 0.000 0.000 0.167 1
```

=====

[2]
Starting from a DFT-relaxed cell (GGA-PBE, Alexandria), the powder X-ray diffraction pattern of TiS2I was calculated for Cu Kα.
Kinematic intensities with the Lorentz-polarization factor, no thermal factor.

Main lines, by intensity (10° ≤ 2θ ≤ 90°):
2θ (°), d (Å), Rel. int.
16.42, 5.399, 100
41.50, 2.176, 33
32.15, 2.784, 30
32.35, 2.768, 29
32.65, 2.743, 28
24.74, 3.599, 23
33.23, 2.696, 19
30.46, 2.934, 17
41.41, 2.181, 16
33.01, 2.714, 12
34.11, 2.629, 11
49.68, 1.835, 10

Cell and atoms:
```
data_TiS2I
_cell_length_a 3.449
_cell_length_b 5.796
_cell_length_c 11.003
_cell_angle_alpha 78.92
_cell_angle_beta 89.84
_cell_angle_gamma 89.51
_symmetry_space_group_name_H-M 'P 1'
_symmetry_Int_Tables_number 1
loop_
_symmetry_equiv_pos_as_xyz
'x,y,z'
loop_
_atom_site_label
_atom_site_type_symbol
_atom_site_fract_x
_atom_site_fract_y
_atom_site_fract_z
_atom_site_occupancy
Ti1 Ti 0.000 0.000 0.000 1
Ti2 Ti 0.480 0.500 0.000 1
S1 S 0.486 0.213 0.868 1
S2 S 0.487 0.787 0.133 1
S3 S 0.993 0.713 0.868 1
S4 S 0.994 0.287 0.133 1
I1 I 0.488 0.999 0.500 1
I2 I 0.992 0.499 0.500 1
```